[1]
Structure and theoretical powder XRD pattern of Ge3Pt2 (a crystal structure in the Materials Project, relaxed with GGA-PBE; Cu Kα (weighted mean of Kα1 and Kα2)).

The 12 most intense peaks (2θ = 10–80°), by angle:
index, 2θ (°), d [Å], Rel. int.
2 0 1, 17.65, 5.026, 29
4 0 1, 25.67, 3.470, 24
2 1 0, 27.99, 3.187, 26
0 0 2, 28.27, 3.156, 25
0 1 1, 29.50, 3.028, 40
4 1 0, 33.75, 2.656, 69
3 1 2, 42.08, 2.147, 33
6 0 2, 43.47, 2.082, 31
6 1 1, 44.33, 2.044, 100
3 0 3, 46.15, 1.967, 24
0 1 3, 50.82, 1.797, 24
0 2 0, 53.07, 1.726, 26

Crystal structure
```
data_Ge3Pt2
_cell_length_a 16.6163
_cell_length_b 3.4514
_cell_length_c 6.3127
_cell_angle_alpha 90.00
_cell_angle_beta 90.00
_cell_angle_gamma 90.00
_space_group_name_H-M_alt 'P n m a'
_space_group_IT_number 62
loop_
_space_group_symop_operation_xyz
'x,y,z'
'-x,-y,-z'
'-x+1/2,-y,z+1/2'
'x+1/2,y,-z+1/2'
'x+1/2,-y+1/2,-z+1/2'
'-x+1/2,y+1/2,z+1/2'
'-x,y+1/2,-z'
'x,-y+1/2,z'
loop_
_atom_site_label
_atom_site_type_symbol
_atom_site_fract_x
_atom_site_fract_y
_atom_site_fract_z
Ge1 Ge 0.0711 0.2500 0.0585
Ge2 Ge 0.1126 0.7500 0.5851
Ge3 Ge 0.2314 0.7500 0.8413
Pt1 Pt 0.0068 0.2500 0.6957
Pt2 Pt 0.1704 0.7500 0.2063
```



[2]
Structure and theoretical powder XRD pattern of MnCu2SnTe4 (a crystal structure in the Materials Project, relaxed with GGA-PBE; Cu Kα (weighted mean of Kα1 and Kα2)).

The 12 most intense peaks (2θ = 10–80°), by angle:
index, 2θ (°), d [Å], Rel. int.
1 1 2, 24.89, 3.577, 100
1 0 3, 25.94, 3.435, 2
2 0 0, 28.82, 3.098, 4
2 0 2, 32.31, 2.771, 2
2 1 1, 33.12, 2.704, 3
1 1 4, 35.50, 2.528, 3
2 2 0, 41.22, 2.190, 72
3 1 2, 48.75, 1.868, 45
4 0 0, 59.70, 1.549, 11
3 3 2, 65.70, 1.421, 17
4 2 4, 75.12, 1.265, 21
3 1 8, 78.79, 1.215, 2

Crystal structure
```
data_MnCu2SnTe4
_cell_length_a 6.1969
_cell_length_b 6.1969
_cell_length_c 12.3831
_cell_angle_alpha 90.00
_cell_angle_beta 90.00
_cell_angle_gamma 90.00
_space_group_name_H-M_alt 'I -4 2 m'
_space_group_IT_number 121
_space_group_name_Hall 'I -4 2'
loop_
_atom_site_label
_atom_site_type_symbol
_atom_site_fract_x
_atom_site_fract_y
_atom_site_fract_z
Mn1 Mn 0.0000 0.0000 0.0000
Cu1 Cu 0.0000 0.5000 0.2500
Sn1 Sn 0.0000 0.0000 0.5000
Te1 Te 0.2402 0.2402 0.8622
```



[3]
Structure and theoretical powder XRD pattern of NaSbN2 (a crystal structure in the Materials Project, relaxed with GGA-PBE; Cu Kα (weighted mean of Kα1 and Kα2)).

The 12 most intense peaks (2θ = 10–80°), by angle:
index, 2θ (°), d [Å], Rel. int.
0 0 3, 15.21, 5.824, 100
0 0 6, 30.70, 2.912, 25
1 0 1, 32.67, 2.741, 36
0 1 2, 33.89, 2.645, 52
1 0 4, 38.43, 2.343, 75
0 1 5, 41.55, 2.173, 15
1 0 7, 49.09, 1.856, 17
0 1 8, 53.38, 1.716, 25
1 1 0, 57.51, 1.602, 22
1 1 3, 59.86, 1.545, 15
1 0 10, 62.85, 1.479, 11
1 1 6, 66.61, 1.404, 17

Crystal structure
```
data_NaSbN2
_cell_length_a 3.2049
_cell_length_b 3.2049
_cell_length_c 17.4713
_cell_angle_alpha 90.00
_cell_angle_beta 90.00
_cell_angle_gamma 120.00
_space_group_name_H-M_alt 'R -3 m'
_space_group_IT_number 166
_space_group_name_Hall '-R 3 2"'
loop_
_atom_site_label
_atom_site_type_symbol
_atom_site_fract_x
_atom_site_fract_y
_atom_site_fract_z
Na1 Na 0.0000 0.0000 0.0000
Sb1 Sb 0.0000 0.0000 0.5000
N1 N 0.0000 0.0000 0.2321
```



Copy entry 3 word for word.
Structure and theoretical powder XRD pattern of NaSbN2 (a crystal structure in the Materials Project, relaxed with GGA-PBE; Cu Kα (weighted mean of Kα1 and Kα2)).

The 12 most intense peaks (2θ = 10–80°), by angle:
index, 2θ (°), d [Å], Rel. int.
0 0 3, 15.21, 5.824, 100
0 0 6, 30.70, 2.912, 25
1 0 1, 32.67, 2.741, 36
0 1 2, 33.89, 2.645, 52
1 0 4, 38.43, 2.343, 75
0 1 5, 41.55, 2.173, 15
1 0 7, 49.09, 1.856, 17
0 1 8, 53.38, 1.716, 25
1 1 0, 57.51, 1.602, 22
1 1 3, 59.86, 1.545, 15
1 0 10, 62.85, 1.479, 11
1 1 6, 66.61, 1.404, 17

Crystal structure
```
data_NaSbN2
_cell_length_a 3.2049
_cell_length_b 3.2049
_cell_length_c 17.4713
_cell_angle_alpha 90.00
_cell_angle_beta 90.00
_cell_angle_gamma 120.00
_space_group_name_H-M_alt 'R -3 m'
_space_group_IT_number 166
_space_group_name_Hall '-R 3 2"'
loop_
_atom_site_label
_atom_site_type_symbol
_atom_site_fract_x
_atom_site_fract_y
_atom_site_fract_z
Na1 Na 0.0000 0.0000 0.0000
Sb1 Sb 0.0000 0.0000 0.5000
N1 N 0.0000 0.0000 0.2321
```